Structure and computed powder diffractogram of PPd3 (a PBE-relaxed structure; Cu Kα X-rays).
Intensities are scaled so that the largest is 100.

Cell and atoms:
```
PPd3
1.0
-4.927 4.927 2.411
4.927 -4.927 2.411
4.927 4.927 -2.411
P Pd
4 12
Direct
0.021 0.207 0.748
0.460 0.274 0.252
0.726 0.979 0.186
0.793 0.540 0.814
0.120 0.596 0.695
0.162 0.270 0.462
0.239 0.399 0.112
0.286 0.126 0.888
0.300 0.838 0.108
0.404 0.099 0.524
0.575 0.880 0.476
0.601 0.714 0.840
0.730 0.192 0.892
0.808 0.700 0.538
0.874 0.761 0.160
0.901 0.425 0.305
```

Largest 12 diffraction maxima, by angle, 5 to 70 degrees two-theta:
| 2theta | I (rel.) |
| --- | --- |
| 32.99 | 29 |
| 37.84 | 100 |
| 38.77 | 30 |
| 39.55 | 54 |
| 40.96 | 30 |
| 41.70 | 15 |
| 42.20 | 96 |
| 45.76 | 17 |
| 47.02 | 15 |
| 47.69 | 21 |
| 60.26 | 13 |
| 67.65 | 34 |

Structure and computed powder diffractogram of MgNb3 (a PBE-relaxed structure; Cu Kα X-rays).
Intensities are scaled so that the largest is 100.

Cell and atoms:
```
MgNb3
1.0
0.000 3.337 3.337
3.337 0.000 3.337
3.337 3.337 0.000
Mg Nb
1 3
Direct
0.000 0.000 0.000
0.250 0.250 0.250
0.500 0.500 0.500
0.750 0.750 0.750
```

Largest 9 diffraction maxima, by angle, 5 to 70 degrees two-theta:
| 2theta | I (rel.) |
| --- | --- |
| 23.08 | 13 |
| 26.71 | 7 |
| 38.13 | 100 |
| 45.05 | 6 |
| 47.17 | 2 |
| 55.03 | 17 |
| 60.46 | 3 |
| 62.20 | 2 |
| 68.92 | 33 |

Structure and computed powder diffractogram of SmY3Pd4 (a PBE-relaxed structure; Cu Kα X-rays).
Intensities are scaled so that the largest is 100.

Cell and atoms:
```
SmY3Pd4
1.0
-3.538 3.538 3.538
3.538 -3.538 3.538
3.538 3.538 -3.538
Sm Y Pd
1 3 4
Direct
0.000 0.000 0.000
0.000 0.500 0.500
0.500 0.000 0.500
0.500 0.500 0.000
0.000 0.000 0.500
0.000 0.500 0.000
0.500 0.000 0.000
0.500 0.500 0.500
```

Largest 7 diffraction maxima, by angle, 5 to 70 degrees two-theta:
| 2theta | I (rel.) |
| --- | --- |
| 17.73 | 3 |
| 30.96 | 1 |
| 35.90 | 100 |
| 40.31 | 1 |
| 48.12 | 1 |
| 51.68 | 17 |
| 64.53 | 35 |

Structure and computed powder diffractogram of CsCeAu2 (a PBE-relaxed structure; Cu Kα X-rays).
Intensities are scaled so that the largest is 100.

Cell and atoms:
```
CsCeAu2
1.0
3.888 0.000 0.000
0.000 3.888 0.000
0.000 0.000 8.576
Cs Ce Au
1 1 2
Direct
0.000 0.000 0.000
0.000 0.000 0.500
0.500 0.500 0.325
0.500 0.500 0.675
```

Largest 12 diffraction maxima, by angle, 5 to 70 degrees two-theta:
| 2theta | I (rel.) |
| --- | --- |
| 10.31 | 43 |
| 25.15 | 19 |
| 31.05 | 100 |
| 31.29 | 14 |
| 32.57 | 77 |
| 39.11 | 35 |
| 45.79 | 20 |
| 46.73 | 28 |
| 48.49 | 17 |
| 57.17 | 36 |
| 62.52 | 18 |
| 69.62 | 12 |